For Tb3PtRh, a cell relaxed with PBE gives the theoretical X-ray powder pattern in this record (CuKα).

Principal peaks in the range 10 to 80 degrees two-theta, in order of falling intensity:
2θ (°), Rel. int.
33.5, 100.0
35.2, 61.8
39.4, 39.6
30.2, 34.0
36.6, 32.3
32.3, 28.6
29.3, 25.4
39.3, 23.0
36.3, 22.1
32.6, 19.0

Structural model:
```
data_Tb3PtRh
_chemical_formula_sum 'Tb12 Pt4 Rh4'
_cell_length_a 8.6495
_cell_length_b 7.2892
_cell_length_c 8.1814
_cell_angle_alpha 90.00
_cell_angle_beta 105.83
_cell_angle_gamma 90.00
_symmetry_space_group_name_H-M 'P 1 21/c 1'
_symmetry_Int_Tables_number 14
loop_
_symmetry_equiv_pos_as_xyz
'x,y,z'
'-x,-y,-z'
'-x,y+1/2,-z+1/2'
'x,-y+1/2,z+1/2'
loop_
_atom_site_label
_atom_site_fract_x
_atom_site_fract_y
_atom_site_fract_z
Tb1 0.0515 0.0020 0.2179
Tb2 0.2865 0.6501 0.1089
Tb3 0.3560 0.1862 0.9997
Pt1 0.4082 0.5388 0.8115
Rh1 0.0591 0.1884 0.5208
```

For Tb2Pt5Rh, a cell relaxed with PBE gives the theoretical X-ray powder pattern in this record (CuKα).

Principal peaks in the range 10 to 80 degrees two-theta, in order of falling intensity:
2θ (°), Rel. int.
37.9, 100.0
43.9, 33.0
76.7, 25.9
64.0, 21.7
44.1, 16.3
77.0, 12.9
63.9, 10.9
27.6, 1.4
17.0, 1.1
15.2, 0.6

Structural model:
```
data_Tb2Pt5Rh
_chemical_formula_sum 'Tb4 Pt10 Rh2'
_cell_length_a 5.8266
_cell_length_b 11.6583
_cell_length_c 4.1039
_cell_angle_alpha 90.00
_cell_angle_beta 90.00
_cell_angle_gamma 90.00
_symmetry_space_group_name_H-M 'P b a m'
_symmetry_Int_Tables_number 55
loop_
_symmetry_equiv_pos_as_xyz
'x,y,z'
'-x,-y,-z'
'-x,-y,z'
'x,y,-z'
'x+1/2,-y+1/2,-z'
'-x+1/2,y+1/2,z'
'-x+1/2,y+1/2,-z'
'x+1/2,-y+1/2,z'
loop_
_atom_site_label
_atom_site_fract_x
_atom_site_fract_y
_atom_site_fract_z
Tb1 0.2446 0.1235 0.0000
Pt1 0.0000 0.5000 0.5000
Pt2 0.0042 0.7504 0.5000
Pt3 0.2478 0.3757 0.0000
Rh1 0.0000 0.0000 0.5000
```

For Tb8Pt5Rh, a cell relaxed with PBE gives the theoretical X-ray powder pattern in this record (CuKα).

Principal peaks in the range 10 to 80 degrees two-theta, in order of falling intensity:
2θ (°), Rel. int.
32.4, 100.0
38.5, 54.5
32.3, 47.6
38.6, 25.6
65.9, 24.9
53.5, 24.7
48.9, 17.9
46.5, 14.9
53.3, 12.7
51.2, 12.1

Structural model:
```
data_Tb8Pt5Rh
_chemical_formula_sum 'Tb16 Pt10 Rh2'
_cell_length_a 8.7296
_cell_length_b 8.7296
_cell_length_c 8.7731
_cell_angle_alpha 90.00
_cell_angle_beta 90.00
_cell_angle_gamma 90.00
_symmetry_space_group_name_H-M 'I -4'
_symmetry_Int_Tables_number 82
loop_
_symmetry_equiv_pos_as_xyz
'x,y,z'
'y,-x,-z'
'-x,-y,z'
'-y,x,-z'
'x+1/2,y+1/2,z+1/2'
'y+1/2,-x+1/2,-z+1/2'
'-x+1/2,-y+1/2,z+1/2'
'-y+1/2,x+1/2,-z+1/2'
loop_
_atom_site_label
_atom_site_fract_x
_atom_site_fract_y
_atom_site_fract_z
Tb1 0.0597 0.3088 0.0592
Tb2 0.0649 0.1864 0.6872
Pt1 0.0000 0.5000 0.7500
Pt2 0.1250 0.2488 0.3726
Rh1 0.0000 0.0000 0.0000
```

For TbThPtRh, a cell relaxed with PBE gives the theoretical X-ray powder pattern in this record (CuKα).

Principal peaks in the range 10 to 80 degrees two-theta, in order of falling intensity:
2θ (°), Rel. int.
32.2, 100.0
39.8, 67.9
32.5, 39.0
41.6, 27.9
33.8, 19.4
47.4, 19.3
53.8, 19.1
38.8, 17.4
64.9, 15.2
58.6, 14.8

Structural model:
```
data_TbThPtRh
_chemical_formula_sum 'Tb2 Th2 Pt2 Rh2'
_cell_length_a 4.3370
_cell_length_b 3.8397
_cell_length_c 11.0082
_cell_angle_alpha 90.00
_cell_angle_beta 90.00
_cell_angle_gamma 90.00
_symmetry_space_group_name_H-M 'A m m 2'
_symmetry_Int_Tables_number 38
loop_
_symmetry_equiv_pos_as_xyz
'x,y,z'
'-x,-y,z'
'-x,y,z'
'x,-y,z'
'x,y+1/2,z+1/2'
'-x,-y+1/2,z+1/2'
'-x,y+1/2,z+1/2'
'x,-y+1/2,z+1/2'
loop_
_atom_site_label
_atom_site_fract_x
_atom_site_fract_y
_atom_site_fract_z
Tb1 0.0000 0.0000 0.0000
Th1 0.5000 0.0000 0.7257
Pt1 0.5000 0.0000 0.4508
Rh1 0.0000 0.0000 0.2627
```

For Tc2Pt3Rh2, a cell relaxed with PBE gives the theoretical X-ray powder pattern in this record (CuKα).

Principal peaks in the range 10 to 80 degrees two-theta, in order of falling intensity:
2θ (°), Rel. int.
40.3, 100.0
42.3, 59.3
41.0, 47.8
39.1, 34.3
53.4, 31.7
33.6, 28.9
58.0, 21.9
25.0, 16.6
54.0, 15.3
70.3, 11.4

Structural model:
```
data_Tc2Pt3Rh2
_chemical_formula_sum 'Tc2 Pt3 Rh2'
_cell_length_a 4.3993
_cell_length_b 2.6687
_cell_length_c 9.3567
_cell_angle_alpha 90.00
_cell_angle_beta 103.49
_cell_angle_gamma 90.00
_symmetry_space_group_name_H-M 'P 1 2/m 1'
_symmetry_Int_Tables_number 10
loop_
_symmetry_equiv_pos_as_xyz
'x,y,z'
'-x,-y,-z'
'-x,y,-z'
'x,-y,z'
loop_
_atom_site_label
_atom_site_fract_x
_atom_site_fract_y
_atom_site_fract_z
Tc1 0.1408 0.0000 0.2800
Pt1 0.0000 0.5000 0.0000
Pt2 0.2863 0.5000 0.5734
Rh1 0.4272 0.5000 0.8535
```

For Tc2PtRh3, a cell relaxed with PBE gives the theoretical X-ray powder pattern in this record (CuKα).

Principal peaks in the range 10 to 80 degrees two-theta, in order of falling intensity:
2θ (°), Rel. int.
43.1, 100.0
39.2, 61.0
40.7, 38.4
49.1, 31.5
75.8, 18.4
68.1, 15.7
65.7, 13.1
68.3, 8.2
12.4, 5.5
23.6, 4.6

Structural model:
```
data_Tc2PtRh3
_chemical_formula_sum 'Tc8 Pt4 Rh12'
_cell_length_a 2.7478
_cell_length_b 14.3094
_cell_length_c 8.8576
_cell_angle_alpha 90.00
_cell_angle_beta 90.00
_cell_angle_gamma 90.00
_symmetry_space_group_name_H-M 'C m c m'
_symmetry_Int_Tables_number 63
_symmetry_space_group_name_Hall '-C 2c 2'
loop_
_atom_site_label
_atom_site_fract_x
_atom_site_fract_y
_atom_site_fract_z
Tc1 0.0000 0.0000 0.0000
Tc2 0.0000 0.4439 0.2500
Pt1 0.0000 0.2200 0.7500
Rh1 0.0000 0.1073 0.2500
Rh2 0.0000 0.3396 0.5020
```